Entry 1:
Calculated powder diffractogram of Tb7Sm2Ho4 for CuKα, from a structure optimized by DFT (GGA-PBE).

Largest 10 diffraction maxima, in order of rising 2θ, 2θ = 10–90°:
2theta, d (Å), intensity
26.91, 3.313, 21
29.39, 3.039, 15
30.17, 2.962, 45
31.92, 2.804, 15
32.41, 2.762, 100
33.82, 2.651, 13
35.87, 2.504, 31
51.12, 1.787, 17
52.13, 1.754, 30
62.74, 1.481, 14

```
Tb7Sm2Ho4
1.0
6.078 0.000 0.000
-3.039 5.263 0.000
0.000 0.000 13.254
Tb Sm Ho
7 2 4
direct
0.000 0.000 0.000 Tb
0.000 0.358 0.218 Tb
0.000 0.642 0.782 Tb
0.358 0.000 0.218 Tb
0.358 0.358 0.782 Tb
0.642 0.000 0.782 Tb
0.642 0.642 0.218 Tb
0.333 0.667 0.000 Sm
0.667 0.333 0.000 Sm
0.000 0.000 0.394 Ho
0.000 0.000 0.606 Ho
0.333 0.667 0.500 Ho
0.667 0.333 0.500 Ho
```

Entry 2:
Calculated powder diffractogram of Hf3ZrOs for CuKα, from a structure optimized by DFT (GGA-PBE).

Largest 10 diffraction maxima, in order of rising 2θ, 2θ = 10–90°:
2theta, d (Å), intensity
16.32, 5.432, 43
30.94, 2.890, 40
31.84, 2.811, 62
37.25, 2.414, 78
40.20, 2.243, 100
40.43, 2.231, 22
44.72, 2.026, 20
55.98, 1.643, 48
71.14, 1.325, 19
74.34, 1.276, 27

```
Hf3ZrOs
1.0
3.285 1.897 6.079
-3.285 1.897 6.079
0.000 -3.793 6.079
Hf Zr Os
6 2 2
direct
0.102 0.599 0.599 Hf
0.401 0.401 0.898 Hf
0.401 0.898 0.401 Hf
0.599 0.102 0.599 Hf
0.599 0.599 0.102 Hf
0.898 0.401 0.401 Hf
0.091 0.091 0.091 Zr
0.909 0.909 0.909 Zr
0.331 0.331 0.331 Os
0.669 0.669 0.669 Os
```

Question: Which formula does entry 1 have?
Answer: Tb7Sm2Ho4

Repeat the first record exactly.
Calculated powder diffractogram of Tb7Sm2Ho4 for CuKα, from a structure optimized by DFT (GGA-PBE).

Largest 10 diffraction maxima, in order of rising 2θ, 2θ = 10–90°:
2theta, d (Å), intensity
26.91, 3.313, 21
29.39, 3.039, 15
30.17, 2.962, 45
31.92, 2.804, 15
32.41, 2.762, 100
33.82, 2.651, 13
35.87, 2.504, 31
51.12, 1.787, 17
52.13, 1.754, 30
62.74, 1.481, 14

```
Tb7Sm2Ho4
1.0
6.078 0.000 0.000
-3.039 5.263 0.000
0.000 0.000 13.254
Tb Sm Ho
7 2 4
direct
0.000 0.000 0.000 Tb
0.000 0.358 0.218 Tb
0.000 0.642 0.782 Tb
0.358 0.000 0.218 Tb
0.358 0.358 0.782 Tb
0.642 0.000 0.782 Tb
0.642 0.642 0.218 Tb
0.333 0.667 0.000 Sm
0.667 0.333 0.000 Sm
0.000 0.000 0.394 Ho
0.000 0.000 0.606 Ho
0.333 0.667 0.500 Ho
0.667 0.333 0.500 Ho
```